1.
For Th5InTc2, a GGA-PBE-relaxed structure gives the theoretical powder diffraction line list in this record (Cu Kα (weighted mean of Kα1 and Kα2)).
Peak positions follow from Bragg's law for the DFT cell and can differ from measured ones.

Top 10 peaks for 10 to 90 degrees two-theta, low angle first:
2θ = 25.79°, rel. 28
2θ = 30.44°, rel. 26
2θ = 31.77°, rel. 100
2θ = 34.43°, rel. 30
2θ = 35.57°, rel. 56
2θ = 41.45°, rel. 18
2θ = 51.21°, rel. 21
2θ = 53.25°, rel. 19
2θ = 55.70°, rel. 19
2θ = 66.27°, rel. 20

Atomic structure:
```
data_Th5InTc2
_space_group_name_H-M_alt 'I 4/m c m'
_space_group_IT_number 140
_space_group_name_Hall '-I 4 2c'
_cell_length_a 7.981
_cell_length_b 7.981
_cell_length_c 13.752
_cell_angle_alpha 90.00
_cell_angle_beta 90.00
_cell_angle_gamma 90.00
loop_
_atom_site_label
_atom_site_type_symbol
_atom_site_fract_x
_atom_site_fract_y
_atom_site_fract_z
Th1 Th 0.000 0.000 0.000
Th2 Th 0.158 0.342 0.135
In1 In 0.000 0.000 0.250
Tc1 Tc 0.140 0.360 0.500
```


2.
For Sc4CdSn, a GGA-PBE-relaxed structure gives the theoretical powder diffraction line list in this record (Cu Kα (weighted mean of Kα1 and Kα2)).
Peak positions follow from Bragg's law for the DFT cell and can differ from measured ones.

Top 10 peaks for 10 to 90 degrees two-theta, low angle first:
2θ = 22.50°, rel. 100
2θ = 37.09°, rel. 64
2θ = 37.21°, rel. 63
2θ = 43.77°, rel. 13
2θ = 43.90°, rel. 39
2θ = 53.55°, rel. 21
2θ = 58.90°, rel. 11
2θ = 66.77°, rel. 10
2θ = 67.05°, rel. 31
2θ = 71.69°, rel. 12

Atomic structure:
```
data_Sc4CdSn
_space_group_name_H-M_alt 'R -3 m'
_space_group_IT_number 166
_space_group_name_Hall '-R 3 2"'
_cell_length_a 4.8321
_cell_length_b 4.8321
_cell_length_c 23.7892
_cell_angle_alpha 90.00
_cell_angle_beta 90.00
_cell_angle_gamma 120.00
loop_
_atom_site_label
_atom_site_type_symbol
_atom_site_fract_x
_atom_site_fract_y
_atom_site_fract_z
Sc1 Sc 0.0000 0.0000 0.1229
Sc2 Sc 0.0000 0.0000 0.3731
Cd1 Cd 0.0000 0.0000 0.0000
Sn1 Sn 0.0000 0.0000 0.5000
```